For Tb2MgSi2Ir5, the PBE geometry in Alexandria gives the calculated X-ray diffraction stick pattern in this record (a wavelength of 1.5418 Å).

Lattice parameters (Å, degrees): 9.846 9.846 3.477 90.00 90.00 90.00
Element x y z (fractional)
Tb (0.175, 0.325, 0.000)
Tb (0.325, 0.825, 0.000)
Tb (0.675, 0.175, 0.000)
Tb (0.825, 0.675, 0.000)
Mg (0.000, 0.000, 0.000)
Mg (0.500, 0.500, 0.000)
Si (0.125, 0.625, 0.000)
Si (0.375, 0.125, 0.000)
Si (0.625, 0.875, 0.000)
Si (0.875, 0.375, 0.000)
Ir (0.000, 0.500, 0.500)
Ir (0.068, 0.785, 0.500)
Ir (0.215, 0.068, 0.500)
Ir (0.285, 0.568, 0.500)
Ir (0.432, 0.285, 0.500)
Ir (0.500, 0.000, 0.500)
Ir (0.568, 0.715, 0.500)
Ir (0.715, 0.432, 0.500)
Ir (0.785, 0.932, 0.500)
Ir (0.932, 0.215, 0.500)

Main lines, in order of rising 2θ (2θ = 10–90°):
2θ/deg, intensity, h k l
25.61, 28, 0 0 1
32.81, 74, 2 1 1
37.67, 72, 4 1 0
38.82, 100, 3 3 0
42.07, 39, 3 2 1
66.51, 47, 4 1 2